No. 1
This entry pairs a crystal structure of Li2As2PbO7 with its theoretical powder XRD pattern. Radiation: Cu Kα (λ = 1.5418 Å). Structure: the PBE geometry in Alexandria.
Intensities are scaled so that the largest is 100.

Principal peaks in the range 5° ≤ 2θ ≤ 70°, most intense first:
2θ/deg, Rel. int., h k l
20.12, 100, 0 1 2
26.81, 56, 0 1 5
11.45, 46, 0 0 3
32.50, 42, 1 1 0
32.92, 40, 1 0 7
58.29, 30, 1 1 12
24.16, 21, 1 0 4
38.52, 20, 2 0 2
48.38, 18, 1 1 9
51.26, 16, 1 2 2

Structural model:
```
data_Li2As2PbO7
_chemical_formula_sum 'Li6 As6 Pb3 O21'
_space_group_name_H-M_alt 'R 3 2'
_space_group_IT_number 155
_space_group_name_Hall 'R 3 2"'
_cell_length_a 5.5105
_cell_length_b 5.5105
_cell_length_c 23.1801
_cell_angle_alpha 90.00
_cell_angle_beta 90.00
_cell_angle_gamma 120.00
loop_
_atom_site_label
_atom_site_type_symbol
_atom_site_fract_x
_atom_site_fract_y
_atom_site_fract_z
Li1 Li 0.0000 0.0000 0.2493
As1 As 0.0000 0.0000 0.4237
Pb1 Pb 0.0000 0.0000 0.0000
O1 O 0.0000 0.0000 0.5000
O2 O 0.0204 0.3063 0.4031
```

***

No. 2
This entry pairs a crystal structure of SrU3S6 with its theoretical powder XRD pattern. Radiation: Cu Kα (λ = 1.5418 Å). Structure: the PBE geometry in Alexandria.
Intensities are scaled so that the largest is 100.

Principal peaks in the range 5° ≤ 2θ ≤ 70°, most intense first:
2θ/deg, Rel. int., h k l
25.89, 100, 1 1 1
23.29, 74, 1 0 -3
24.38, 61, 3 0 -1
27.21, 59, 2 0 2
27.95, 45, 2 1 0
36.30, 40, 1 1 3
44.80, 34, 0 2 0
29.57, 33, 2 1 -2
8.51, 32, 1 0 0
47.53, 27, 5 1 -1

Structural model:
```
data_SrU3S6
_chemical_formula_sum 'Sr2 U6 S12'
_space_group_name_H-M_alt 'P 1 21/m 1'
_space_group_IT_number 11
_space_group_name_Hall '-P 2yb'
_cell_length_a 10.9550
_cell_length_b 4.0457
_cell_length_c 11.4660
_cell_angle_alpha 90.00
_cell_angle_beta 108.46
_cell_angle_gamma 90.00
loop_
_atom_site_label
_atom_site_type_symbol
_atom_site_fract_x
_atom_site_fract_y
_atom_site_fract_z
Sr1 Sr 0.0856 0.2500 0.1952
U1 U 0.1599 0.2500 0.5713
U2 U 0.3126 0.7500 0.9895
U3 U 0.4953 0.2500 0.3312
S1 S 0.0772 0.7500 0.3980
S2 S 0.1272 0.2500 0.9425
S3 S 0.2570 0.7500 0.7257
S4 S 0.3091 0.7500 0.2317
S5 S 0.3764 0.2500 0.5116
S6 S 0.4692 0.2500 0.0904
```

***

No. 3
This entry pairs a crystal structure of Tb4CeDyS8 with its theoretical powder XRD pattern. Radiation: Cu Kα (λ = 1.5418 Å). Structure: the PBE geometry in Alexandria.
Intensities are scaled so that the largest is 100.

Principal peaks in the range 5° ≤ 2θ ≤ 70°, most intense first:
2θ/deg, Rel. int., h k l
25.69, 100, 0 1 5
44.56, 58, 2 0 8
40.76, 44, 1 2 5
21.86, 25, 1 1 0
61.97, 24, 1 0 13
31.10, 20, 0 2 4
52.14, 15, 3 1 5
26.85, 15, 2 0 2
38.34, 11, 3 0 0
13.33, 10, 1 0 1

Structural model:
```
data_Tb4CeDyS8
_chemical_formula_sum 'Tb12 Ce3 Dy3 S24'
_space_group_name_H-M_alt 'R 3 m'
_space_group_IT_number 160
_space_group_name_Hall 'R 3 -2"'
_cell_length_a 8.1373
_cell_length_b 8.1373
_cell_length_c 19.9029
_cell_angle_alpha 90.00
_cell_angle_beta 90.00
_cell_angle_gamma 120.00
loop_
_atom_site_label
_atom_site_type_symbol
_atom_site_fract_x
_atom_site_fract_y
_atom_site_fract_z
Tb1 Tb 0.0000 0.0000 0.0000
Tb2 Tb 0.0003 0.5002 0.8752
Ce1 Ce 0.0000 0.0000 0.7504
Dy1 Dy 0.0000 0.0000 0.3752
S1 S 0.0000 0.0000 0.1323
S2 S 0.0000 0.0000 0.6140
S3 S 0.0309 0.5155 0.1286
S4 S 0.1769 0.3538 0.9566
```

***

No. 4
This entry pairs a crystal structure of SrInSb2Au6 with its theoretical powder XRD pattern. Radiation: Cu Kα (λ = 1.5418 Å). Structure: the PBE geometry in Alexandria.
Intensities are scaled so that the largest is 100.

Principal peaks in the range 5° ≤ 2θ ≤ 70°, most intense first:
2θ/deg, Rel. int., h k l
36.77, 100, 4 2 1
37.08, 71, 0 0 2
32.99, 61, 0 6 0
9.12, 60, 1 1 0
41.64, 52, 4 4 1
33.31, 52, 3 3 1
14.67, 48, 2 0 0
50.46, 37, 0 6 2
37.98, 30, 0 6 1
29.36, 29, 3 1 1

Structural model:
```
data_SrInSb2Au6
_chemical_formula_sum 'Sr4 In4 Sb8 Au24'
_space_group_name_H-M_alt 'C m c m'
_space_group_IT_number 63
_space_group_name_Hall '-C 2c 2'
_cell_length_a 12.0735
_cell_length_b 16.2929
_cell_length_c 4.8488
_cell_angle_alpha 90.00
_cell_angle_beta 90.00
_cell_angle_gamma 90.00
loop_
_atom_site_label
_atom_site_type_symbol
_atom_site_fract_x
_atom_site_fract_y
_atom_site_fract_z
Sr1 Sr 0.0000 0.2214 0.2500
In1 In 0.0000 0.4090 0.7500
Sb1 Sb 0.1441 0.1060 0.7500
Au1 Au 0.1188 0.4078 0.2500
Au2 Au 0.1779 0.2692 0.7500
Au3 Au 0.2462 0.0705 0.2500
```